Record 1
Starting from a PBE-relaxed structure, the powder X-ray diffraction pattern of GaFe3 was simulated for copper Kα.

Structural model:
Cell lengths 2.5662, 2.5662, 7.8951 Å; angles 90.00, 90.00, 106.45 degrees
Fractional coordinates of all 4 atoms:
1 Ga 0.0000 0.0000 0.0000
2 Fe 0.0000 0.0000 0.5000
3 Fe 0.5000 0.5000 0.2543
4 Fe 0.5000 0.5000 0.7457

Largest 10 diffraction maxima, sorted by position, 10 to 90 degrees two-theta:
2theta, I (rel.)
11.2, 1
43.3, 100
44.1, 24
46.0, 21
60.2, 9
65.6, 13
77.6, 8
79.0, 7
80.5, 14
83.3, 13

=====

Record 2
Starting from a PBE-relaxed structure, the powder X-ray diffraction pattern of ZnIrO3 was simulated for copper Kα.

Structural model:
Cell lengths 3.9070, 3.9070, 3.9070 Å; angles 90.00, 90.00, 90.00 degrees
Fractional coordinates of all 5 atoms:
1 Zn 0.0000 0.0000 0.0000
2 Ir 0.5000 0.5000 0.5000
3 O 0.0000 0.5000 0.5000
4 O 0.5000 0.0000 0.5000
5 O 0.5000 0.5000 0.0000

Largest 10 diffraction maxima, sorted by position, 10 to 90 degrees two-theta:
2theta, I (rel.)
22.8, 37
32.4, 100
40.0, 3
46.5, 29
52.4, 16
57.8, 40
67.8, 18
72.6, 8
77.2, 17
86.2, 6

=====

Record 3
Starting from a PBE-relaxed structure, the powder X-ray diffraction pattern of TbGa2Ni3 was simulated for copper Kα.

Structural model:
Cell lengths 8.9357, 8.9357, 3.8988 Å; angles 90.00, 90.00, 120.20 degrees
Fractional coordinates of all 18 atoms:
1 Tb 0.0000 0.0000 0.0000
2 Tb 0.3333 0.6667 0.5000
3 Tb 0.6667 0.3333 0.5000
4 Ga 0.9998 0.3150 0.5000
5 Ga 0.0002 0.6850 0.5000
6 Ga 0.3150 0.9998 0.5000
7 Ga 0.3153 0.3153 0.5000
8 Ga 0.6850 0.0002 0.5000
9 Ga 0.6847 0.6847 0.5000
10 Ni 0.0000 0.5000 0.0000
11 Ni 0.1813 0.3623 0.0000
12 Ni 0.1812 0.8188 0.0000
13 Ni 0.3623 0.1813 0.0000
14 Ni 0.5000 0.0000 0.0000
15 Ni 0.5000 0.5000 0.0000
16 Ni 0.6377 0.8187 0.0000
17 Ni 0.8188 0.1812 0.0000
18 Ni 0.8187 0.6377 0.0000

Largest 10 diffraction maxima, sorted by position, 10 to 90 degrees two-theta:
2theta, I (rel.)
25.6, 36
32.6, 46
34.9, 44
38.5, 71
40.4, 40
42.0, 100
46.6, 45
46.9, 28
59.5, 28
63.3, 30